Record 1
The following is a theoretical PXRD pattern of PrTm3Rh8. It was derived from the GGA-PBE geometry in Alexandria, using a wavelength of 1.5418 Å.

The 10 most intense peaks (10° ≤ 2θ ≤ 80°), by angle:
- 2θ 33.6, d = 2.668 Å, I 45
- 2θ 36.5, d = 2.464 Å, I 89
- 2θ 39.0, d = 2.310 Å, I 13
- 2θ 39.6, d = 2.277 Å, I 100
- 2θ 40.4, d = 2.233 Å, I 78
- 2θ 41.3, d = 2.184 Å, I 12
- 2θ 62.0, d = 1.498 Å, I 36
- 2θ 64.1, d = 1.452 Å, I 24
- 2θ 67.2, d = 1.394 Å, I 30
- 2θ 70.6, d = 1.334 Å, I 27

Structural model:
Cell lengths 5.3351, 5.3351, 8.7372 Å; angles 90.00, 90.00, 120.00 degrees
Space group P3m1 (No. 156)
Symmetry-distinct sites (fractional):
Pr 0.0000 0.0000 0.0000 x1
Tm 0.0000 0.0000 0.3684 x1
Tm 0.6667 0.3333 0.4972 x1
Tm 0.6667 0.3333 0.8622 x1
Rh 0.1646 0.3292 0.6787 x3
Rh 0.3333 0.6667 0.4324 x1
Rh 0.3333 0.6667 0.9312 x1
Rh 0.5024 0.0047 0.1872 x3

Record 2
The following is a theoretical PXRD pattern of IrC3. It was derived from the GGA-PBE geometry in Alexandria, using a wavelength of 1.5418 Å.

The 10 most intense peaks (10° ≤ 2θ ≤ 80°), by angle:
- 2θ 26.2, d = 3.400 Å, I 100
- 2θ 26.6, d = 3.345 Å, I 47
- 2θ 27.4, d = 3.249 Å, I 69
- 2θ 32.1, d = 2.791 Å, I 24
- 2θ 34.1, d = 2.629 Å, I 22
- 2θ 43.8, d = 2.067 Å, I 33
- 2θ 46.0, d = 1.972 Å, I 22
- 2θ 47.5, d = 1.914 Å, I 21
- 2θ 48.3, d = 1.884 Å, I 19
- 2θ 53.0, d = 1.727 Å, I 15

Structural model:
Cell lengths 5.5981, 5.2578, 4.2015 Å; angles 90.00, 127.24, 90.00 degrees
Space group Cm (No. 8)
Symmetry-distinct sites (fractional):
Ir 0.0000 0.0000 0.0000 x2
C 0.1589 0.0000 0.5754 x2
C 0.2436 0.1987 0.8515 x4

Record 3
The following is a theoretical PXRD pattern of PrNd2. It was derived from the GGA-PBE geometry in Alexandria, using a wavelength of 1.5418 Å.

The 10 most intense peaks (10° ≤ 2θ ≤ 80°), by angle:
- 2θ 28.6, d = 3.122 Å, I 30
- 2θ 29.8, d = 3.000 Å, I 50
- 2θ 30.2, d = 2.963 Å, I 100
- 2θ 33.4, d = 2.686 Å, I 77
- 2θ 36.4, d = 2.467 Å, I 15
- 2θ 49.2, d = 1.853 Å, I 37
- 2θ 51.0, d = 1.792 Å, I 23
- 2θ 57.2, d = 1.611 Å, I 17
- 2θ 58.6, d = 1.577 Å, I 44
- 2θ 58.8, d = 1.571 Å, I 15

Structural model:
Cell lengths 3.7059, 3.7059, 54.0030 Å; angles 90.00, 90.00, 120.00 degrees
Space group R-3m (No. 166, hexagonal axes)
Symmetry-distinct sites (fractional):
Pr 0.0000 0.0000 0.0833 x6
Nd 0.0000 0.0000 0.1943 x6
Nd 0.0000 0.0000 0.3611 x6